Record 1
Simulated powder XRD pattern
Compound: Sm2SnGe2Rh5
Radiation: a wavelength of 1.5418 Å
Structure: DFT lattice parameters and positions (PBE)
Kinematic intensities with the Lorentz-polarization factor, no thermal factor.

Largest 12 diffraction maxima, low angle first, 10 to 90 degrees two-theta:
hkl 2 1 1, 31.7°, I = 28; hkl 2 2 1, 35.5°, I = 28; hkl 4 1 0, 37.4°, I = 51; hkl 3 1 1, 37.8°, I = 100; hkl 3 3 0, 38.6°, I = 14; hkl 4 2 0, 40.7°, I = 20; hkl 3 2 1, 41.1°, I = 36; hkl 4 0 1, 44.2°, I = 11; hkl 0 0 2, 49.9°, I = 23; hkl 4 1 2, 64.0°, I = 21; hkl 3 3 2, 64.7°, I = 11; hkl 5 4 1, 65.5°, I = 12

Cell: 9.907 9.907 3.658 Å, 90.00 90.00 90.00°
Space group P4/mbm (No. 127)
Unique sites:
Sm (0.176, 0.324, 0.000) x4
Sn (0.000, 0.000, 0.000) x2
Ge (0.122, 0.622, 0.000) x4
Rh (0.000, 0.500, 0.500) x2
Rh (0.068, 0.787, 0.500) x8


Record 2
Simulated powder XRD pattern
Compound: Sn2GeRh3
Radiation: a wavelength of 1.5418 Å
Structure: DFT lattice parameters and positions (PBE)
Kinematic intensities with the Lorentz-polarization factor, no thermal factor.

Largest 12 diffraction maxima, low angle first, 10 to 90 degrees two-theta:
hkl 1 1 1, 29.6°, I = 25; hkl 2 0 1, 31.6°, I = 40; hkl 1 1 -2, 32.7°, I = 91; hkl 1 1 2, 35.6°, I = 37; hkl 1 0 3, 36.7°, I = 41; hkl 2 1 1, 39.3°, I = 28; hkl 1 1 -3, 39.9°, I = 100; hkl 3 0 -1, 42.2°, I = 31; hkl 1 1 3, 43.6°, I = 42; hkl 2 1 2, 44.7°, I = 25; hkl 0 2 0, 46.5°, I = 63; hkl 3 1 -1, 48.5°, I = 45

Cell: 6.446 3.906 8.636 Å, 90.00 99.42 90.00°
Space group P2_1/m (No. 11)
Unique sites:
Sn (0.040, 0.250, 0.340) x2
Sn (0.192, 0.250, 0.962) x2
Ge (0.430, 0.250, 0.673) x2
Rh (0.214, 0.750, 0.176) x2
Rh (0.302, 0.750, 0.512) x2
Rh (0.415, 0.750, 0.853) x2


Record 3
Simulated powder XRD pattern
Compound: Sn2Ge2Rh3
Radiation: a wavelength of 1.5418 Å
Structure: DFT lattice parameters and positions (PBE)
Kinematic intensities with the Lorentz-polarization factor, no thermal factor.

Largest 12 diffraction maxima, low angle first, 10 to 90 degrees two-theta:
hkl 2 0 0, 14.8°, I = 43; hkl 0 0 1, 15.3°, I = 43; hkl 1 1 0, 23.2°, I = 29; hkl 3 1 -1, 33.6°, I = 100; hkl 2 0 2, 36.6°, I = 82; hkl 3 1 -2, 42.1°, I = 63; hkl 5 1 0, 43.9°, I = 69; hkl 0 2 0, 44.9°, I = 50; hkl 5 1 1, 48.8°, I = 35; hkl 2 2 2, 59.2°, I = 40; hkl 8 0 -1, 61.6°, I = 34; hkl 8 2 -1, 79.4°, I = 29

Cell: 12.120 4.041 5.842 Å, 90.00 98.82 90.00°
Space group C2/m (No. 12)
Unique sites:
Sn (0.166, 0.000, 0.358) x4
Ge (0.105, 0.500, 0.890) x4
Rh (0.000, 0.000, 0.000) x2
Rh (0.211, 0.000, 0.822) x4


Record 4
Simulated powder XRD pattern
Compound: SrGe4Rh4
Radiation: a wavelength of 1.5418 Å
Structure: DFT lattice parameters and positions (PBE)
Kinematic intensities with the Lorentz-polarization factor, no thermal factor.

Largest 12 diffraction maxima, low angle first, 10 to 90 degrees two-theta:
hkl 1 1 0, 15.0°, I = 51; hkl 2 1 1, 30.1°, I = 27; hkl 3 1 0, 33.9°, I = 100; hkl 0 0 2, 36.9°, I = 23; hkl 1 0 2, 38.5°, I = 40; hkl 4 0 0, 43.2°, I = 51; hkl 3 3 0, 46.0°, I = 19; hkl 2 4 0, 48.7°, I = 16; hkl 3 0 2, 49.7°, I = 39; hkl 3 1 2, 50.9°, I = 27; hkl 4 4 0, 62.8°, I = 14; hkl 3 4 2, 68.0°, I = 17

Cell: 8.365 8.365 4.875 Å, 90.00 90.00 90.00°
Space group P4_2/n (No. 86, origin choice 2)
Unique sites:
Sr (0.250, 0.250, 0.250) x2
Ge (0.061, 0.897, 0.178) x8
Rh (0.114, 0.880, 0.671) x8


Record 5
Simulated powder XRD pattern
Compound: Tb3Ge3Rh2
Radiation: a wavelength of 1.5418 Å
Structure: DFT lattice parameters and positions (PBE)
Kinematic intensities with the Lorentz-polarization factor, no thermal factor.

Largest 12 diffraction maxima, low angle first, 10 to 90 degrees two-theta:
hkl 1 3 1, 33.4°, I = 50; hkl 1 1 4, 33.6°, I = 100; hkl 0 4 0, 33.9°, I = 17; hkl 0 4 1, 34.5°, I = 16; hkl 0 2 5, 35.7°, I = 16; hkl 0 0 6, 37.7°, I = 21; hkl 1 3 3, 38.0°, I = 49; hkl 0 4 3, 39.0°, I = 20; hkl 1 3 4, 41.6°, I = 37; hkl 2 0 0, 41.8°, I = 44; hkl 1 3 7, 56.2°, I = 13; hkl 1 7 0, 65.5°, I = 16

Cell: 4.320 10.563 14.309 Å, 90.00 90.00 90.00°
Space group Cmcm (No. 63)
Unique sites:
Tb (0.000, 0.084, 0.110) x8
Tb (0.000, 0.357, 0.250) x4
Ge (0.000, 0.344, 0.750) x4
Ge (0.000, 0.380, 0.037) x8
Rh (0.000, 0.203, 0.599) x8


Record 6
Simulated powder XRD pattern
Compound: TbGe4Rh2
Radiation: a wavelength of 1.5418 Å
Structure: DFT lattice parameters and positions (PBE)
Kinematic intensities with the Lorentz-polarization factor, no thermal factor.

Largest 12 diffraction maxima, low angle first, 10 to 90 degrees two-theta:
hkl 2 1 2, 35.7°, I = 100; hkl 5 1 1, 36.1°, I = 63; hkl 6 1 0, 37.8°, I = 17; hkl 7 0 1, 38.9°, I = 31; hkl 0 2 0, 42.6°, I = 45; hkl 6 1 2, 46.8°, I = 14; hkl 2 1 3, 47.2°, I = 19; hkl 7 0 3, 55.6°, I = 13; hkl 7 2 1, 59.1°, I = 18; hkl 9 1 3, 68.2°, I = 15; hkl 12 1 0, 68.9°, I = 12; hkl 2 3 2, 73.5°, I = 12

Cell: 17.263 4.243 6.689 Å, 90.00 90.00 90.00°
Space group Pnma (No. 62)
Unique sites:
Tb (0.142, 0.250, 0.002) x4
Ge (0.034, 0.750, 0.865) x4
Ge (0.065, 0.250, 0.466) x4
Ge (0.182, 0.750, 0.305) x4
Ge (0.193, 0.750, 0.723) x4
Rh (0.031, 0.750, 0.249) x4
Rh (0.211, 0.250, 0.518) x4